The following is a simulated PXRD pattern of TbSmPu2P4. It was derived from a cell relaxed with GGA-PBE, using Cu Ka.
Peak positions follow from Bragg's law for the DFT cell and can differ from measured ones.

Principal peaks in the range 10° ≤ 2θ ≤ 90°, in order of rising 2θ:
two_theta, I_rel
27.1, 75
27.3, 25
31.4, 100
44.9, 37
45.2, 37
53.3, 25
55.8, 20
74.3, 17
74.7, 17
83.0, 13

Atomic structure:
```
TbSmPu2P4
1.0
6.9427 0.0000 0.0000
0.0000 4.0379 0.0000
-2.3485 0.0000 6.5871
Tb Sm Pu P
1 1 2 4
Cartesian
0.0000 0.0000 0.0000 Tb
-1.1743 2.0190 3.2936 Sm
2.2971 0.0000 3.2936 Pu
3.4714 2.0190 0.0000 Pu
1.2083 2.0190 1.6501 P
0.0342 0.0000 4.9801 P
4.5600 0.0000 1.6071 P
3.3859 2.0190 4.9371 P
```


The following is a simulated PXRD pattern of CdTcSe2. It was derived from a cell relaxed with GGA-PBE, using Cu Ka.
Peak positions follow from Bragg's law for the DFT cell and can differ from measured ones.

Principal peaks in the range 10° ≤ 2θ ≤ 90°, in order of rising 2θ:
two_theta, I_rel
23.1, 22
26.3, 14
29.8, 63
35.4, 31
39.3, 100
40.2, 23
44.6, 20
45.3, 26
45.9, 16
65.4, 15

Atomic structure:
```
CdTcSe2
1.0
-1.5346 2.0036 6.7718
1.5346 -2.0036 6.7718
1.5346 2.0036 -6.7718
Cd Tc Se
1 1 2
Cartesian
0.0000 0.0000 0.0000 Cd
0.0000 2.0036 3.7782 Tc
1.5346 0.0000 4.5630 Se
0.0000 0.0000 8.5877 Se
```


The following is a simulated PXRD pattern of RbDyAg2. It was derived from a cell relaxed with GGA-PBE, using Cu Ka.
Peak positions follow from Bragg's law for the DFT cell and can differ from measured ones.

Principal peaks in the range 10° ≤ 2θ ≤ 90°, in order of rising 2θ:
two_theta, I_rel
10.4, 65
31.6, 100
33.3, 64
35.0, 15
39.7, 35
47.9, 23
49.2, 24
58.5, 34
63.9, 14
71.0, 14

Atomic structure:
```
RbDyAg2
1.0
3.8019 0.0000 0.0000
0.0000 3.8019 0.0000
0.0000 0.0000 8.4841
Rb Dy Ag
1 1 2
Cartesian
0.0000 0.0000 0.0000 Rb
0.0000 0.0000 4.2421 Dy
1.9009 1.9009 2.7476 Ag
1.9009 1.9009 5.7366 Ag
```


The following is a simulated PXRD pattern of Mo17Os12. It was derived from a cell relaxed with GGA-PBE, using Cu Ka.
Peak positions follow from Bragg's law for the DFT cell and can differ from measured ones.

Principal peaks in the range 10° ≤ 2θ ≤ 90°, in order of rising 2θ:
two_theta, I_rel
22.5, 23
37.2, 8
39.6, 100
44.0, 50
46.0, 11
48.0, 35
68.7, 16
71.8, 28
73.4, 10
85.3, 13

Atomic structure:
```
Mo17Os12
1.0
-4.8293 4.8293 4.8293
4.8293 -4.8293 4.8293
4.8293 4.8293 -4.8293
Mo Os
17 12
Cartesian
0.0000 0.0000 0.0000 Mo
1.6880 1.6880 -1.6880 Mo
4.4554 1.3967 -1.3967 Mo
1.6880 -1.6880 1.6880 Mo
4.4554 -1.3967 1.3967 Mo
5.2032 1.3967 1.3967 Mo
1.3967 4.4554 -1.3967 Mo
1.3967 -1.3967 4.4554 Mo
-1.6880 1.6880 1.6880 Mo
3.4326 3.4326 0.3739 Mo
3.4326 0.3739 3.4326 Mo
-1.3967 4.4554 1.3967 Mo
-1.3967 1.3967 4.4554 Mo
3.1413 3.1413 3.1413 Mo
1.3967 5.2032 1.3967 Mo
1.3967 1.3967 5.2032 Mo
0.3739 3.4326 3.4326 Mo
6.9281 0.8816 -0.8816 Os
6.9281 -0.8816 0.8816 Os
2.7305 0.8816 0.8816 Os
3.9477 3.9477 -2.0988 Os
3.9477 -2.0988 3.9477 Os
0.8816 2.7305 0.8816 Os
0.8816 0.8816 2.7305 Os
0.8816 6.9281 -0.8816 Os
0.8816 -0.8816 6.9281 Os
-0.8816 6.9281 0.8816 Os
-0.8816 0.8816 6.9281 Os
-2.0988 3.9477 3.9477 Os
```


The following is a simulated PXRD pattern of Pr4AuS3. It was derived from a cell relaxed with GGA-PBE, using Cu Ka.
Peak positions follow from Bragg's law for the DFT cell and can differ from measured ones.

Principal peaks in the range 10° ≤ 2θ ≤ 90°, in order of rising 2θ:
two_theta, I_rel
16.8, 22
26.1, 27
27.2, 16
30.2, 100
30.3, 48
43.2, 37
43.3, 72
53.7, 38
71.2, 33
79.3, 25

Atomic structure:
```
Pr4AuS3
1.0
-2.9616 2.9616 5.8945
2.9616 -2.9616 5.8945
2.9616 2.9616 -5.8945
Pr Au S
4 1 3
Cartesian
2.9616 0.0000 0.0000 Pr
0.0000 0.0000 2.8376 Pr
0.0000 2.9616 0.0000 Pr
0.0000 0.0000 8.9514 Pr
0.0000 0.0000 5.8945 Au
0.0000 0.0000 0.0000 S
2.9616 0.0000 2.9472 S
0.0000 2.9616 2.9472 S
```


The following is a simulated PXRD pattern of Al3Ag5. It was derived from a cell relaxed with GGA-PBE, using Cu Ka.
Peak positions follow from Bragg's law for the DFT cell and can differ from measured ones.

Principal peaks in the range 10° ≤ 2θ ≤ 90°, in order of rising 2θ:
two_theta, I_rel
19.2, 29
36.1, 18
37.9, 100
38.9, 31
44.3, 63
63.8, 20
65.2, 19
76.6, 12
77.3, 23
78.6, 11

Atomic structure:
```
Al3Ag5
1.0
2.9189 1.6853 4.6288
-2.9189 1.6853 4.6288
0.0000 -3.3705 4.6288
Al Ag
3 5
Cartesian
-1.4595 -0.8426 4.6288 Al
-1.4595 0.8426 9.2576 Al
0.0000 1.6852 4.6288 Al
0.0000 0.0000 0.0000 Ag
-2.9189 0.0000 6.9432 Ag
-1.4595 0.8426 2.3144 Ag
1.4595 0.8426 2.3144 Ag
0.0000 0.0000 6.9432 Ag
```